Structure and calculated X-ray diffraction stick pattern of KLiCr (a cell relaxed with GGA-PBE; Cu Kα, 1.54184 Å).

Structure:
Unit cell a=6.911 b=6.911 c=6.911 alpha=152.27 beta=143.04 gamma=46.83
Atoms (fractional coordinates):
K: 0.000 0.000 0.000
Li: 0.719 0.719 0.000
Cr: 0.292 0.292 0.000

Most intense lines, 10 to 90 degrees two-theta, sorted by position:
- 21.46 deg, rel. 83
- 27.84 deg, rel. 43
- 28.14 deg, rel. 50
- 29.36 deg, rel. 100
- 33.93 deg, rel. 84
- 34.40 deg, rel. 64
- 44.64 deg, rel. 51
- 54.72 deg, rel. 29